1.
Starting from a DFT-relaxed cell (PBE, Alexandria), the XRD peak list of Ca2Be4Si3Ir was computed for CuKα.

Most intense lines, 2θ = 10–90°, in order of rising 2θ:
23.24°, 3.827 Å, I = 43, (1 0 0); 24.89°, 3.577 Å, I = 76, (1 0 1); 26.58°, 3.353 Å, I = 38, (0 0 3); 29.33°, 3.045 Å, I = 52, (1 0 2); 34.32°, 2.613 Å, I = 73, (1 1 1); 35.60°, 2.522 Å, I = 49, (1 0 3); 37.75°, 2.383 Å, I = 100, (1 1 2); 42.99°, 2.104 Å, I = 36, (1 1 3); 47.52°, 1.913 Å, I = 37, (2 0 0); 60.79°, 1.524 Å, I = 34, (2 0 4)

Cell and atoms:
Cell: 3.827 3.827 10.059 Å, 90.00 90.00 90.00°
Space group P-4m2 (No. 115)
Symmetry-distinct sites (fractional):
Ca  0.000  0.500  0.245 (multiplicity 2)
Be  0.000  0.000  0.000 (multiplicity 1)
Be  0.000  0.500  0.634 (multiplicity 2)
Be  0.500  0.500  0.000 (multiplicity 1)
Si  0.000  0.500  0.870 (multiplicity 2)
Si  0.500  0.500  0.500 (multiplicity 1)
Ir  0.000  0.000  0.500 (multiplicity 1)

2.
Starting from a DFT-relaxed cell (PBE, Alexandria), the XRD peak list of K2CaBeP2 was computed for CuKα.

Most intense lines, 2θ = 10–90°, in order of rising 2θ:
12.34°, 7.171 Å, I = 17, (0 2 0); 23.01°, 3.865 Å, I = 17, (1 3 0); 27.45°, 3.249 Å, I = 19, (0 0 2); 29.93°, 2.985 Å, I = 16, (2 2 0); 30.20°, 2.960 Å, I = 15, (0 2 2); 31.34°, 2.854 Å, I = 22, (1 1 2); 31.59°, 2.832 Å, I = 100, (1 4 1); 39.00°, 2.309 Å, I = 45, (2 0 2); 50.87°, 1.795 Å, I = 13, (3 4 1); 51.19°, 1.784 Å, I = 22, (1 4 3)

Cell and atoms:
Cell: 6.566 14.342 6.499 Å, 90.00 90.00 90.00°
Space group Ibam (No. 72)
Symmetry-distinct sites (fractional):
K  0.216  0.181  0.000 (multiplicity 8)
Ca  0.000  0.500  0.250 (multiplicity 4)
Be  0.000  0.000  0.250 (multiplicity 4)
P  0.198  0.079  0.500 (multiplicity 8)

3.
Starting from a DFT-relaxed cell (PBE, Alexandria), the XRD peak list of K2CaBe2S4 was computed for CuKα.

Most intense lines, 2θ = 10–90°, in order of rising 2θ:
28.58°, 3.124 Å, I = 39, (4 0 -2); 30.66°, 2.916 Å, I = 22, (3 1 0); 32.97°, 2.716 Å, I = 48, (4 0 1); 33.37°, 2.685 Å, I = 100, (1 1 -2); 38.61°, 2.332 Å, I = 48, (5 1 -1); 43.45°, 2.083 Å, I = 14, (6 0 -3); 47.74°, 1.905 Å, I = 12, (2 0 -4); 48.07°, 1.893 Å, I = 19, (0 2 0); 55.48°, 1.656 Å, I = 31, (3 1 3); 59.53°, 1.553 Å, I = 14, (4 2 1)

Cell and atoms:
Cell: 14.801 3.785 7.679 Å, 90.00 112.05 90.00°
Space group C2/m (No. 12)
Symmetry-distinct sites (fractional):
K  0.125  0.000  0.046 (multiplicity 4)
Ca  0.000  0.000  0.500 (multiplicity 2)
Be  0.175  0.500  0.468 (multiplicity 4)
S  0.035  0.500  0.272 (multiplicity 4)
S  0.211  0.000  0.644 (multiplicity 4)

4.
Starting from a DFT-relaxed cell (PBE, Alexandria), the XRD peak list of KCaBeS2 was computed for CuKα.

Most intense lines, 2θ = 10–90°, in order of rising 2θ:
22.93°, 3.879 Å, I = 28, (1 1 0); 26.58°, 3.354 Å, I = 100, (1 1 1); 30.14°, 2.965 Å, I = 44, (2 0 -2); 30.30°, 2.950 Å, I = 19, (1 1 -2); 31.96°, 2.800 Å, I = 27, (2 1 -1); 36.94°, 2.433 Å, I = 33, (2 0 2); 38.86°, 2.318 Å, I = 36, (1 1 -3); 42.35°, 2.134 Å, I = 16, (3 1 -1); 45.24°, 2.005 Å, I = 21, (0 0 4); 45.82°, 1.981 Å, I = 19, (1 2 -2)

Cell and atoms:
Cell: 7.253 4.628 8.178 Å, 90.00 101.33 90.00°
Space group P2/c (No. 13)
Symmetry-distinct sites (fractional):
K  0.000  0.204  0.250 (multiplicity 2)
Ca  0.500  0.488  0.750 (multiplicity 2)
Be  0.500  0.000  0.000 (multiplicity 2)
S  0.281  0.259  0.965 (multiplicity 4)

5.
Starting from a DFT-relaxed cell (PBE, Alexandria), the XRD peak list of CaLaBeN2 was computed for CuKα.

Most intense lines, 2θ = 10–90°, in order of rising 2θ:
15.85°, 5.590 Å, I = 61, (1 0 0); 25.16°, 3.539 Å, I = 83, (0 1 1); 26.50°, 3.363 Å, I = 38, (1 1 0); 27.31°, 3.265 Å, I = 55, (0 0 2); 27.89°, 3.199 Å, I = 94, (1 1 -1); 31.76°, 2.818 Å, I = 100, (1 1 1); 32.02°, 2.795 Å, I = 44, (2 0 0); 35.22°, 2.548 Å, I = 39, (1 0 2); 36.55°, 2.458 Å, I = 47, (2 0 -2); 46.05°, 1.971 Å, I = 58, (1 1 -3)

Cell and atoms:
Cell: 5.785 4.211 6.757 Å, 90.00 104.90 90.00°
Space group P2/c (No. 13)
Symmetry-distinct sites (fractional):
Ca  0.000  0.044  0.250 (multiplicity 2)
La  0.500  0.307  0.750 (multiplicity 2)
Be  0.000  0.500  0.000 (multiplicity 2)
N  0.229  0.294  0.018 (multiplicity 4)

6.
Starting from a DFT-relaxed cell (PBE, Alexandria), the XRD peak list of Ca2LaBeO5 was computed for CuKα.

Most intense lines, 2θ = 10–90°, in order of rising 2θ:
16.50°, 5.371 Å, I = 68, (1 0 1); 18.82°, 4.716 Å, I = 41, (2 0 0); 26.30°, 3.388 Å, I = 49, (2 1 1); 29.56°, 3.022 Å, I = 100, (1 2 1); 30.96°, 2.889 Å, I = 67, (2 2 0); 31.46°, 2.844 Å, I = 94, (1 1 2); 31.58°, 2.833 Å, I = 68, (3 0 1); 40.67°, 2.218 Å, I = 39, (4 0 1); 41.74°, 2.164 Å, I = 54, (2 2 2); 47.64°, 1.909 Å, I = 43, (2 1 3)

Cell and atoms:
Cell: 9.432 7.309 6.534 Å, 90.00 90.00 90.00°
Space group Pnma (No. 62)
Symmetry-distinct sites (fractional):
Ca  0.173  0.029  0.082 (multiplicity 8)
La  0.028  0.250  0.600 (multiplicity 4)
Be  0.106  0.750  0.811 (multiplicity 4)
O  0.013  0.750  0.024 (multiplicity 4)
O  0.071  0.562  0.689 (multiplicity 8)
O  0.223  0.250  0.360 (multiplicity 4)
O  0.232  0.750  0.331 (multiplicity 4)

7.
Starting from a DFT-relaxed cell (PBE, Alexandria), the XRD peak list of CaLaBeP2 was computed for CuKα.

Most intense lines, 2θ = 10–90°, in order of rising 2θ:
13.56°, 6.528 Å, I = 45, (1 0 0); 22.81°, 3.898 Å, I = 43, (0 1 1); 23.74°, 3.748 Å, I = 28, (1 0 -2); 24.68°, 3.608 Å, I = 26, (1 1 -1); 28.47°, 3.135 Å, I = 100, (1 1 1); 30.54°, 2.927 Å, I = 48, (2 0 -2); 32.88°, 2.724 Å, I = 21, (2 1 -1); 40.04°, 2.252 Å, I = 37, (1 1 -3); 41.79°, 2.161 Å, I = 21, (1 2 0); 44.34°, 2.043 Å, I = 29, (3 1 -1)

Cell and atoms:
Cell: 6.847 4.581 7.783 Å, 90.00 107.56 90.00°
Space group P2/c (No. 13)
Symmetry-distinct sites (fractional):
Ca  0.000  0.074  0.250 (multiplicity 2)
La  0.500  0.260  0.750 (multiplicity 2)
Be  0.000  0.500  0.000 (multiplicity 2)
P  0.257  0.269  0.023 (multiplicity 4)

8.
Starting from a DFT-relaxed cell (PBE, Alexandria), the XRD peak list of LiCaBe2 was computed for CuKα.

Most intense lines, 2θ = 10–90°, in order of rising 2θ:
11.63°, 7.612 Å, I = 100, (0 0 1); 23.37°, 3.806 Å, I = 29, (0 0 2); 30.31°, 2.948 Å, I = 27, (1 0 0); 32.57°, 2.749 Å, I = 56, (1 0 1); 35.38°, 2.537 Å, I = 17, (0 0 3); 38.63°, 2.331 Å, I = 50, (1 0 2); 43.40°, 2.085 Å, I = 24, (1 1 0); 47.26°, 1.923 Å, I = 14, (1 0 3); 49.87°, 1.829 Å, I = 13, (1 1 2); 57.19°, 1.611 Å, I = 15, (1 1 3)

Cell and atoms:
Cell: 2.948 2.948 7.612 Å, 90.00 90.00 90.00°
Space group P4mm (No. 99)
Symmetry-distinct sites (fractional):
Li  0.000  0.000  0.000 (multiplicity 1)
Ca  0.500  0.500  0.631 (multiplicity 1)
Be  0.000  0.000  0.343 (multiplicity 1)
Be  0.500  0.500  0.224 (multiplicity 1)

9.
Starting from a DFT-relaxed cell (PBE, Alexandria), the XRD peak list of LiCa2BeP2 was computed for CuKα.

Most intense lines, 2θ = 10–90°, in order of rising 2θ:
26.77°, 3.331 Å, I = 29, (0 4 0); 31.42°, 2.847 Å, I = 50, (2 0 0); 31.65°, 2.827 Å, I = 51, (0 0 2); 35.01°, 2.563 Å, I = 100, (1 4 1); 41.74°, 2.164 Å, I = 24, (2 4 0); 41.91°, 2.155 Å, I = 25, (0 4 2); 45.20°, 2.006 Å, I = 45, (2 0 2); 58.28°, 1.583 Å, I = 19, (3 4 1); 58.56°, 1.576 Å, I = 20, (1 4 3); 60.16°, 1.538 Å, I = 25, (1 8 1)

Cell and atoms:
Cell: 5.694 13.323 5.655 Å, 90.00 90.00 90.00°
Space group Ibam (No. 72)
Symmetry-distinct sites (fractional):
Li  0.000  0.000  0.250 (multiplicity 4)
Ca  0.246  0.167  0.000 (multiplicity 8)
Be  0.000  0.500  0.250 (multiplicity 4)
P  0.225  0.400  0.000 (multiplicity 8)

10.
Starting from a DFT-relaxed cell (PBE, Alexandria), the XRD peak list of CaBeMo was computed for CuKα.

Most intense lines, 2θ = 10–90°, in order of rising 2θ:
16.37°, 5.415 Å, I = 78, (0 0 2); 26.75°, 3.333 Å, I = 100, (0 1 1); 32.42°, 2.761 Å, I = 61, (1 0 1); 33.09°, 2.707 Å, I = 56, (0 0 4); 35.72°, 2.514 Å, I = 93, (0 1 3); 40.27°, 2.240 Å, I = 66, (1 0 3); 40.77°, 2.213 Å, I = 80, (1 1 0); 44.21°, 2.049 Å, I = 25, (1 1 2); 53.47°, 1.714 Å, I = 53, (1 1 4); 67.93°, 1.380 Å, I = 30, (1 2 3)

Cell and atoms:
Cell: 2.856 3.503 10.829 Å, 90.00 90.00 90.00°
Space group Imm2 (No. 44)
Symmetry-distinct sites (fractional):
Ca  0.000  0.000  0.000 (multiplicity 2)
Be  0.000  0.000  0.298 (multiplicity 2)
Mo  0.000  0.000  0.715 (multiplicity 2)

11.
Starting from a DFT-relaxed cell (PBE, Alexandria), the XRD peak list of Ca3Np3BeN8 was computed for CuKα.

Most intense lines, 2θ = 10–90°, in order of rising 2θ:
15.75°, 5.625 Å, I = 100, (0 0 1); 16.21°, 5.466 Å, I = 23, (1 1 0); 18.61°, 4.767 Å, I = 41, (2 0 0); 31.42°, 2.848 Å, I = 50, (4 0 -1); 31.81°, 2.813 Å, I = 28, (0 0 2); 32.77°, 2.733 Å, I = 74, (2 2 0); 37.74°, 2.384 Å, I = 84, (4 0 0); 53.81°, 1.704 Å, I = 28, (2 2 2); 55.06°, 1.668 Å, I = 28, (0 4 0); 65.01°, 1.435 Å, I = 24, (0 4 2)

Cell and atoms:
Cell: 11.565 6.666 6.818 Å, 90.00 124.40 90.00°
Space group C2/m (No. 12)
Symmetry-distinct sites (fractional):
Ca  0.000  0.000  0.000 (multiplicity 2)
Ca  0.250  0.250  0.000 (multiplicity 4)
Np  0.000  0.500  0.500 (multiplicity 2)
Np  0.250  0.250  0.500 (multiplicity 4)
Be  0.000  0.000  0.500 (multiplicity 2)
N  0.020  0.248  0.310 (multiplicity 8)
N  0.230  0.000  0.691 (multiplicity 4)
N  0.243  0.500  0.729 (multiplicity 4)

12.
Starting from a DFT-relaxed cell (PBE, Alexandria), the XRD peak list of Ca3Pa3BeN8 was computed for CuKα.

Most intense lines, 2θ = 10–90°, in order of rising 2θ:
15.71°, 5.640 Å, I = 100, (0 0 1); 18.21°, 4.873 Å, I = 35, (2 0 0); 25.86°, 3.446 Å, I = 30, (0 2 0); 30.43°, 2.937 Å, I = 29, (4 0 -1); 30.46°, 2.934 Å, I = 29, (2 2 -1); 31.84°, 2.811 Å, I = 65, (2 2 0); 36.89°, 2.436 Å, I = 74, (4 0 0); 53.07°, 1.725 Å, I = 24, (2 2 2); 53.25°, 1.720 Å, I = 25, (0 4 0); 63.34°, 1.468 Å, I = 31, (6 2 0)

Cell and atoms:
Cell: 11.921 6.880 6.903 Å, 90.00 125.16 90.00°
Space group C2/m (No. 12)
Symmetry-distinct sites (fractional):
Ca  0.000  0.000  0.000 (multiplicity 2)
Ca  0.250  0.250  0.000 (multiplicity 4)
Pa  0.000  0.500  0.500 (multiplicity 2)
Pa  0.250  0.250  0.500 (multiplicity 4)
Be  0.000  0.000  0.500 (multiplicity 2)
N  0.016  0.247  0.302 (multiplicity 8)
N  0.229  0.000  0.696 (multiplicity 4)
N  0.243  0.500  0.727 (multiplicity 4)